Diffraction record for Nd2TmZn2Sn2. The powder X-ray diffraction pattern is computed, not measured: it uses a structure optimized by DFT (GGA-PBE) and copper Kα.

Cell and atoms:
a b c (Å): 9.749 9.749 9.749
angles (deg): 27.89 27.89 27.89
Element x y z (fractional)
Nd: 0.128 0.128 0.128
Nd: 0.872 0.872 0.872
Tm: 0.000 0.000 0.000
Zn: 0.410 0.410 0.410
Zn: 0.590 0.590 0.590
Sn: 0.272 0.272 0.272
Sn: 0.728 0.728 0.728

Principal peaks in the range 2θ = 10–80°, by angle:
2θ = 22.07°, d = 4.027 Å, I 22.5; 2θ = 31.31°, d = 2.857 Å, I 100.0; 2θ = 33.71°, d = 2.658 Å, I 49.1; 2θ = 38.31°, d = 2.349 Å, I 85.3; 2θ = 50.28°, d = 1.815 Å, I 26.7; 2θ = 51.94°, d = 1.760 Å, I 14.6; 2θ = 63.53°, d = 1.464 Å, I 29.0; 2θ = 64.93°, d = 1.436 Å, I 24.8; 2θ = 66.35°, d = 1.409 Å, I 14.1; 2θ = 69.27°, d = 1.356 Å, I 15.0

Diffraction record for NdTm2Zn2Sn2. The powder X-ray diffraction pattern is computed, not measured: it uses a structure optimized by DFT (GGA-PBE) and copper Kα.

Cell and atoms:
a b c (Å): 9.485 9.485 9.485
angles (deg): 28.73 28.73 28.73
Element x y z (fractional)
Nd: 0.000 0.000 0.000
Tm: 0.133 0.133 0.133
Tm: 0.867 0.867 0.867
Zn: 0.426 0.426 0.426
Zn: 0.574 0.574 0.574
Sn: 0.264 0.264 0.264
Sn: 0.736 0.736 0.736

Principal peaks in the range 2θ = 10–80°, by angle:
2θ = 22.05°, d = 4.031 Å, I 22.8; 2θ = 31.78°, d = 2.816 Å, I 100.0; 2θ = 34.30°, d = 2.614 Å, I 41.8; 2θ = 38.25°, d = 2.353 Å, I 86.1; 2θ = 50.55°, d = 1.806 Å, I 27.3; 2θ = 52.31°, d = 1.749 Å, I 12.9; 2θ = 64.82°, d = 1.438 Å, I 18.3; 2θ = 65.12°, d = 1.432 Å, I 25.4; 2θ = 66.63°, d = 1.404 Å, I 12.8; 2θ = 69.15°, d = 1.359 Å, I 15.2

Diffraction record for NdY2Sn9. The powder X-ray diffraction pattern is computed, not measured: it uses a structure optimized by DFT (GGA-PBE) and copper Kα.

Cell and atoms:
a b c (Å): 4.814 4.814 13.789
angles (deg): 90.00 90.00 90.00
Element x y z (fractional)
Nd: 0.000 0.000 0.000
Y: 0.000 0.000 0.334
Y: 0.000 0.000 0.666
Sn: 0.000 0.500 0.170
Sn: 0.000 0.500 0.500
Sn: 0.000 0.500 0.830
Sn: 0.500 0.000 0.170
Sn: 0.500 0.000 0.500
Sn: 0.500 0.000 0.830
Sn: 0.500 0.500 0.000
Sn: 0.500 0.500 0.335
Sn: 0.500 0.500 0.665

Principal peaks in the range 2θ = 10–80°, by angle:
2θ = 19.53°, d = 4.545 Å, I 0.5; 2θ = 32.74°, d = 2.735 Å, I 100.0; 2θ = 37.36°, d = 2.407 Å, I 35.2; 2θ = 39.20°, d = 2.298 Å, I 15.3; 2θ = 53.87°, d = 1.702 Å, I 12.4; 2θ = 55.27°, d = 1.662 Å, I 22.9; 2θ = 64.48°, d = 1.445 Å, I 29.3; 2θ = 66.98°, d = 1.397 Å, I 13.0; 2θ = 68.62°, d = 1.368 Å, I 12.2; 2θ = 79.67°, d = 1.203 Å, I 4.2

Diffraction record for Sr3Nd. The powder X-ray diffraction pattern is computed, not measured: it uses a structure optimized by DFT (GGA-PBE) and copper Kα.

Cell and atoms:
a b c (Å): 7.817 7.817 7.817
angles (deg): 150.29 62.68 126.19
Element x y z (fractional)
Sr: 0.000 0.000 0.000
Sr: 0.422 0.664 0.757
Sr: 0.907 0.664 0.243
Nd: 0.498 0.998 0.500

Principal peaks in the range 2θ = 10–80°, by angle:
2θ = 25.54°, d = 3.487 Å, I 23.7; 2θ = 26.70°, d = 3.338 Å, I 39.9; 2θ = 28.55°, d = 3.126 Å, I 51.0; 2θ = 28.88°, d = 3.091 Å, I 100.0; 2θ = 37.29°, d = 2.412 Å, I 17.4; 2θ = 44.58°, d = 2.033 Å, I 20.0; 2θ = 48.32°, d = 1.884 Å, I 12.9; 2θ = 48.52°, d = 1.876 Å, I 23.0; 2θ = 52.72°, d = 1.736 Å, I 24.0; 2θ = 54.38°, d = 1.687 Å, I 16.6

Diffraction record for SrNd5Te8. The powder X-ray diffraction pattern is computed, not measured: it uses a structure optimized by DFT (GGA-PBE) and copper Kα.

Cell and atoms:
a b c (Å): 9.405 9.405 9.405
angles (deg): 60.00 60.00 60.00
Element x y z (fractional)
Sr: 0.000 0.000 0.000
Nd: 0.373 0.373 0.373
Nd: 0.373 0.373 0.880
Nd: 0.373 0.880 0.373
Nd: 0.750 0.750 0.750
Nd: 0.880 0.373 0.373
Te: 0.136 0.136 0.136
Te: 0.136 0.136 0.591
Te: 0.136 0.591 0.136
Te: 0.149 0.617 0.617
Te: 0.591 0.136 0.136
Te: 0.617 0.149 0.617
Te: 0.617 0.617 0.149
Te: 0.617 0.617 0.617

Principal peaks in the range 2θ = 10–80°, by angle:
2θ = 11.52°, d = 7.679 Å, I 18.5; 2θ = 22.17°, d = 4.010 Å, I 48.7; 2θ = 26.81°, d = 3.325 Å, I 72.6; 2θ = 35.06°, d = 2.560 Å, I 37.8; 2θ = 38.28°, d = 2.351 Å, I 100.0; 2θ = 47.35°, d = 1.920 Å, I 18.6; 2θ = 55.25°, d = 1.663 Å, I 16.0; 2θ = 62.45°, d = 1.487 Å, I 22.0; 2θ = 69.21°, d = 1.358 Å, I 30.3; 2θ = 73.67°, d = 1.286 Å, I 13.9

Diffraction record for SrNdTe4. The powder X-ray diffraction pattern is computed, not measured: it uses a structure optimized by DFT (GGA-PBE) and copper Kα.

Cell and atoms:
a b c (Å): 7.021 7.021 8.200
angles (deg): 90.00 90.00 90.00
Element x y z (fractional)
Sr: 0.250 0.250 0.000
Sr: 0.750 0.750 0.000
Nd: 0.250 0.250 0.500
Nd: 0.750 0.750 0.500
Te: 0.099 0.599 0.267
Te: 0.099 0.901 0.733
Te: 0.401 0.599 0.733
Te: 0.401 0.901 0.267
Te: 0.599 0.099 0.733
Te: 0.599 0.401 0.267
Te: 0.901 0.099 0.267
Te: 0.901 0.401 0.733

Principal peaks in the range 2θ = 10–80°, by angle:
2θ = 21.68°, d = 4.100 Å, I 13.2; 2θ = 28.23°, d = 3.161 Å, I 67.5; 2θ = 30.48°, d = 2.932 Å, I 100.0; 2θ = 33.61°, d = 2.667 Å, I 39.9; 2θ = 40.63°, d = 2.220 Å, I 41.1; 2θ = 43.92°, d = 2.062 Å, I 33.3; 2θ = 44.18°, d = 2.050 Å, I 14.7; 2θ = 57.08°, d = 1.614 Å, I 22.4; 2θ = 60.31°, d = 1.535 Å, I 22.3; 2θ = 61.57°, d = 1.506 Å, I 21.8

Diffraction record for SrNd4Te6. The powder X-ray diffraction pattern is computed, not measured: it uses a structure optimized by DFT (GGA-PBE) and copper Kα.

Cell and atoms:
a b c (Å): 7.720 7.720 23.220
angles (deg): 90.00 90.00 146.14
Element x y z (fractional)
Sr: 0.161 0.839 0.750
Sr: 0.839 0.161 0.250
Nd: 0.089 0.911 0.128
Nd: 0.089 0.911 0.372
Nd: 0.360 0.640 0.038
Nd: 0.360 0.640 0.462
Nd: 0.640 0.360 0.538
Nd: 0.640 0.360 0.962
Nd: 0.911 0.089 0.628
Nd: 0.911 0.089 0.872
Te: 0.000 0.000 0.000
Te: 0.000 0.000 0.500
Te: 0.176 0.824 0.250
Te: 0.269 0.731 0.589
Te: 0.269 0.731 0.911
Te: 0.450 0.550 0.163
Te: 0.450 0.550 0.337
Te: 0.550 0.450 0.663
Te: 0.550 0.450 0.837
Te: 0.731 0.269 0.089
Te: 0.731 0.269 0.411
Te: 0.824 0.176 0.750

Principal peaks in the range 2θ = 10–80°, by angle:
2θ = 25.99°, d = 3.428 Å, I 62.2; 2θ = 27.13°, d = 3.287 Å, I 61.6; 2θ = 27.95°, d = 3.192 Å, I 100.0; 2θ = 29.27°, d = 3.051 Å, I 62.7; 2θ = 29.52°, d = 3.026 Å, I 37.4; 2θ = 37.38°, d = 2.406 Å, I 40.0; 2θ = 39.67°, d = 2.272 Å, I 37.6; 2θ = 39.77°, d = 2.266 Å, I 32.0; 2θ = 40.11°, d = 2.248 Å, I 42.4; 2θ = 41.45°, d = 2.178 Å, I 45.0

Diffraction record for Sr2Nd3Te6. The powder X-ray diffraction pattern is computed, not measured: it uses a structure optimized by DFT (GGA-PBE) and copper Kα.

Cell and atoms:
a b c (Å): 7.853 7.853 8.141
angles (deg): 99.26 99.26 119.99
Element x y z (fractional)
Sr: 0.167 0.833 0.000
Sr: 0.833 0.167 0.000
Nd: 0.000 0.000 0.500
Nd: 0.333 0.667 0.500
Nd: 0.667 0.333 0.500
Te: 0.082 0.413 0.739
Te: 0.256 0.256 0.261
Te: 0.413 0.082 0.739
Te: 0.587 0.918 0.261
Te: 0.744 0.744 0.739
Te: 0.918 0.587 0.261

Principal peaks in the range 2θ = 10–80°, by angle:
2θ = 11.48°, d = 7.708 Å, I 12.8; 2θ = 27.46°, d = 3.248 Å, I 100.0; 2θ = 38.68°, d = 2.328 Å, I 39.4; 2θ = 39.76°, d = 2.267 Å, I 37.1; 2θ = 47.17°, d = 1.927 Å, I 7.3; 2θ = 49.00°, d = 1.859 Å, I 20.3; 2θ = 56.68°, d = 1.624 Å, I 12.8; 2θ = 63.35°, d = 1.468 Å, I 17.9; 2θ = 64.86°, d = 1.437 Å, I 17.2; 2θ = 71.45°, d = 1.320 Å, I 12.7

Diffraction record for Sr4NdY3Te8. The powder X-ray diffraction pattern is computed, not measured: it uses a structure optimized by DFT (GGA-PBE) and copper Kα.

Cell and atoms:
a b c (Å): 9.192 9.192 9.192
angles (deg): 58.76 58.76 58.76
Element x y z (fractional)
Sr: 0.000 0.000 0.000
Sr: 0.000 0.500 0.500
Sr: 0.500 0.000 0.500
Sr: 0.500 0.500 0.000
Nd: 0.500 0.500 0.500
Y: 0.000 0.000 0.500
Y: 0.000 0.500 0.000
Y: 0.500 0.000 0.000
Te: 0.240 0.748 0.748
Te: 0.244 0.244 0.244
Te: 0.252 0.252 0.760
Te: 0.252 0.760 0.252
Te: 0.748 0.240 0.748
Te: 0.748 0.748 0.240
Te: 0.756 0.756 0.756
Te: 0.760 0.252 0.252

Principal peaks in the range 2θ = 10–80°, by angle:
2θ = 27.72°, d = 3.218 Å, I 100.0; 2θ = 39.22°, d = 2.297 Å, I 37.9; 2θ = 39.98°, d = 2.255 Å, I 37.4; 2θ = 48.05°, d = 1.894 Å, I 6.7; 2θ = 49.35°, d = 1.847 Å, I 20.0; 2θ = 57.25°, d = 1.609 Å, I 12.4; 2θ = 64.23°, d = 1.450 Å, I 16.5; 2θ = 65.31°, d = 1.429 Å, I 17.0; 2θ = 72.11°, d = 1.310 Å, I 12.3; 2θ = 72.62°, d = 1.302 Å, I 6.5

Diffraction record for SrNdTh. The powder X-ray diffraction pattern is computed, not measured: it uses a structure optimized by DFT (GGA-PBE) and copper Kα.

Cell and atoms:
a b c (Å): 3.741 3.741 9.496
angles (deg): 90.00 90.00 120.00
Element x y z (fractional)
Sr: 0.000 0.000 0.000
Nd: 0.333 0.667 0.635
Th: 0.667 0.333 0.340

Principal peaks in the range 2θ = 10–80°, by angle:
2θ = 28.19°, d = 3.165 Å, I 31.9; 2θ = 29.13°, d = 3.066 Å, I 100.0; 2θ = 33.49°, d = 2.676 Å, I 75.6; 2θ = 47.48°, d = 1.915 Å, I 22.3; 2θ = 48.68°, d = 1.870 Å, I 24.0; 2θ = 56.14°, d = 1.638 Å, I 16.9; 2θ = 57.21°, d = 1.610 Å, I 26.8; 2θ = 57.74°, d = 1.597 Å, I 14.9; 2θ = 60.38°, d = 1.533 Å, I 14.2; 2θ = 78.81°, d = 1.214 Å, I 12.2

Diffraction record for Sr4NdTl5. The powder X-ray diffraction pattern is computed, not measured: it uses a structure optimized by DFT (GGA-PBE) and copper Kα.

Cell and atoms:
a b c (Å): 4.047 4.047 20.383
angles (deg): 90.00 90.00 90.00
Element x y z (fractional)
Sr: 0.000 0.000 0.102
Sr: 0.000 0.000 0.304
Sr: 0.000 0.000 0.696
Sr: 0.000 0.000 0.898
Nd: 0.000 0.000 0.500
Tl: 0.500 0.500 0.000
Tl: 0.500 0.500 0.202
Tl: 0.500 0.500 0.409
Tl: 0.500 0.500 0.591
Tl: 0.500 0.500 0.798

Principal peaks in the range 2θ = 10–80°, by angle:
2θ = 21.96°, d = 4.047 Å, I 13.1; 2θ = 31.14°, d = 2.872 Å, I 100.0; 2θ = 31.26°, d = 2.862 Å, I 50.8; 2θ = 44.45°, d = 2.038 Å, I 8.8; 2θ = 44.79°, d = 2.024 Å, I 19.0; 2θ = 55.34°, d = 1.660 Å, I 18.6; 2θ = 55.55°, d = 1.654 Å, I 39.5; 2θ = 64.94°, d = 1.436 Å, I 11.5; 2θ = 73.52°, d = 1.288 Å, I 7.1; 2θ = 74.05°, d = 1.280 Å, I 17.2

Diffraction record for Sr3NdTl12. The powder X-ray diffraction pattern is computed, not measured: it uses a structure optimized by DFT (GGA-PBE) and copper Kα.

Cell and atoms:
a b c (Å): 4.977 4.977 19.608
angles (deg): 90.00 90.00 90.00
Element x y z (fractional)
Sr: 0.000 0.000 0.000
Sr: 0.000 0.000 0.255
Sr: 0.000 0.000 0.745
Nd: 0.000 0.000 0.500
Tl: 0.000 0.500 0.127
Tl: 0.000 0.500 0.380
Tl: 0.000 0.500 0.620
Tl: 0.000 0.500 0.873
Tl: 0.500 0.000 0.127
Tl: 0.500 0.000 0.380
Tl: 0.500 0.000 0.620
Tl: 0.500 0.000 0.873
Tl: 0.500 0.500 0.000
Tl: 0.500 0.500 0.251
Tl: 0.500 0.500 0.500
Tl: 0.500 0.500 0.749

Principal peaks in the range 2θ = 10–80°, by angle:
2θ = 17.82°, d = 4.977 Å, I 3.6; 2θ = 31.29°, d = 2.859 Å, I 100.0; 2θ = 36.10°, d = 2.488 Å, I 34.5; 2θ = 36.67°, d = 2.451 Å, I 16.1; 2θ = 51.97°, d = 1.759 Å, I 12.4; 2θ = 52.40°, d = 1.746 Å, I 23.5; 2θ = 61.93°, d = 1.498 Å, I 29.2; 2θ = 62.69°, d = 1.482 Å, I 13.4; 2θ = 65.28°, d = 1.429 Å, I 12.2; 2θ = 76.58°, d = 1.244 Å, I 4.0